Hf4SiC2: theoretical powder X-ray diffraction pattern (Cu Ka), based on the GGA-PBE geometry in Alexandria.

Peak list (12 most intense, 2θ = 10–90°, sorted by position)
2θ/deg  intensity  hkl
31.70  60.9  1 1 2
32.13  28.3  0 4 0
34.92  100.0  0 2 4
35.77  24.1  0 4 2
36.25  76.9  1 1 3
36.80  82.9  1 3 1
39.27  24.8  1 3 2
54.33  22.0  2 0 0
54.79  31.4  1 5 3
59.04  24.9  1 5 4
66.23  31.6  2 2 4
67.94  22.9  1 3 7

Atomic structure:
Unit cell a=3.3771 b=11.1423 c=11.5834 alpha=90.00 beta=90.00 gamma=90.00
Space group Cmcm (No. 63)
One atom of each set of equivalent atoms:
Hf 0.0000 0.0000 0.0000 [4 per cell]
Hf 0.0000 0.2639 0.1087 [8 per cell]
Hf 0.0000 0.4257 0.7500 [4 per cell]
Si 0.0000 0.1084 0.7500 [4 per cell]
C 0.0000 0.3642 0.5611 [8 per cell]

---

Hf12Sn6C: theoretical powder X-ray diffraction pattern (Cu Ka), based on the GGA-PBE geometry in Alexandria.

Peak list (12 most intense, 2θ = 10–90°, sorted by position)
2θ/deg  intensity  hkl
28.24  21.6  3 -2 2
29.83  31.3  2 2 0
32.22  25.9  1 3 1
34.71  61.8  1 0 4
35.44  100.0  3 1 2
38.59  31.6  0 4 2
39.81  16.7  4 1 0
41.54  56.0  5 -3 2
46.41  15.9  4 -3 4
55.29  18.8  2 5 0
60.55  24.4  2 2 6
66.89  16.6  4 1 6

Atomic structure:
Unit cell a=11.9816 b=11.9816 c=10.6733 alpha=90.00 beta=90.00 gamma=120.00
Space group R-3 (No. 148, hexagonal axes)
One atom of each set of equivalent atoms:
Hf 0.0314 0.1688 0.3764 [18 per cell]
Hf 0.0673 0.1735 0.8755 [18 per cell]
Sn 0.0307 0.4103 0.3037 [18 per cell]
C 0.0000 0.0000 0.0000 [3 per cell]

---

Hf6Sn2C: theoretical powder X-ray diffraction pattern (Cu Ka), based on the GGA-PBE geometry in Alexandria.

Peak list (12 most intense, 2θ = 10–90°, sorted by position)
2θ/deg  intensity  hkl
19.84  2.8  0 0 2
28.20  1.4  2 0 0
34.72  100.0  2 0 2
40.26  34.5  2 2 0
40.39  17.1  0 0 4
45.28  0.8  2 2 2
58.32  35.1  4 0 0
69.63  27.0  4 2 2
69.81  13.4  2 0 6
73.28  11.9  4 0 4
87.00  4.0  4 4 0
87.34  1.9  0 0 8

Atomic structure:
Unit cell a=6.3352 b=6.3352 c=8.9319 alpha=90.00 beta=90.00 gamma=90.00
Space group P4/mnc (No. 128)
One atom of each set of equivalent atoms:
Hf 0.0000 0.0000 0.2435 [4 per cell]
Hf 0.2438 0.2449 0.0000 [8 per cell]
Sn 0.0000 0.5000 0.2500 [4 per cell]
C 0.0000 0.0000 0.5000 [2 per cell]

---

TbHfC2: theoretical powder X-ray diffraction pattern (Cu Ka), based on the GGA-PBE geometry in Alexandria.

Peak list (12 most intense, 2θ = 10–90°, sorted by position)
2θ/deg  intensity  hkl
31.36  35.4  0 0 6
32.00  100.0  0 1 2
36.93  88.0  1 0 4
52.80  30.9  0 1 8
53.64  29.8  1 1 0
62.71  15.5  1 0 10
63.47  29.7  1 1 6
63.84  14.5  2 0 2
66.91  15.2  0 2 4
78.62  9.6  2 0 8
88.07  12.6  1 2 2
89.52  14.3  1 1 12

Atomic structure:
Unit cell a=3.4170 b=3.4170 c=17.1139 alpha=90.00 beta=90.00 gamma=120.00
Space group R-3m (No. 166, hexagonal axes)
One atom of each set of equivalent atoms:
Tb 0.0000 0.0000 0.0000 [3 per cell]
Hf 0.0000 0.0000 0.5000 [3 per cell]
C 0.0000 0.0000 0.2410 [6 per cell]

---

Hf3Te3C: theoretical powder X-ray diffraction pattern (Cu Ka), based on the GGA-PBE geometry in Alexandria.

Peak list (12 most intense, 2θ = 10–90°, sorted by position)
2θ/deg  intensity  hkl
11.10  19.1  1 0 0
31.64  21.5  1 1 2
32.59  41.7  0 0 4
33.29  100.0  2 1 0
34.71  28.9  0 1 3
36.36  22.3  1 1 -3
37.95  19.4  3 0 2
41.50  13.3  3 0 -3
46.88  23.9  2 1 -4
47.68  19.6  2 1 4
50.00  20.5  0 2 0
60.97  13.7  0 2 4

Atomic structure:
Unit cell a=7.9760 b=3.6482 c=10.9926 alpha=90.00 beta=91.35 gamma=90.00
Space group P2_1/m (No. 11)
One atom of each set of equivalent atoms:
Hf 0.0890 0.2500 0.4006 [2 per cell]
Hf 0.1106 0.2500 0.8174 [2 per cell]
Hf 0.2945 0.7500 0.6145 [2 per cell]
Te 0.1484 0.2500 0.1265 [2 per cell]
Te 0.3770 0.7500 0.8705 [2 per cell]
Te 0.3833 0.7500 0.3673 [2 per cell]
C 0.1119 0.2500 0.6127 [2 per cell]

---

Hf4Te5C: theoretical powder X-ray diffraction pattern (Cu Ka), based on the GGA-PBE geometry in Alexandria.

Peak list (12 most intense, 2θ = 10–90°, sorted by position)
2θ/deg  intensity  hkl
10.41  17.8  2 0 0
11.42  31.2  0 0 1
29.93  17.9  3 1 -1
31.60  43.5  6 0 0
32.44  23.5  3 1 1
33.24  100.0  1 1 -2
36.01  35.2  5 1 0
38.49  15.3  2 0 3
46.19  25.6  5 1 2
46.84  25.5  7 1 -2
49.56  18.4  0 2 0
59.98  15.8  6 2 0

Atomic structure:
Unit cell a=17.3740 b=3.6786 c=7.9230 alpha=90.00 beta=102.07 gamma=90.00
Space group C2/m (No. 12)
One atom of each set of equivalent atoms:
Hf 0.0016 0.0000 0.3015 [4 per cell]
Hf 0.1339 0.5000 0.5647 [4 per cell]
Te 0.0000 0.5000 0.0000 [2 per cell]
Te 0.1645 0.0000 0.8437 [4 per cell]
Te 0.1710 0.0000 0.3159 [4 per cell]
C 0.0000 0.5000 0.5000 [2 per cell]

---

HfTi3C4: theoretical powder X-ray diffraction pattern (Cu Ka), based on the GGA-PBE geometry in Alexandria.

Peak list (12 most intense, 2θ = 10–90°, sorted by position)
2θ/deg  intensity  hkl
20.05  63.2  1 0 0
28.50  54.9  1 1 0
35.09  100.0  1 1 1
40.74  82.6  2 0 0
45.81  31.9  2 1 0
50.47  24.4  2 1 1
58.98  51.5  2 2 0
62.96  16.2  3 0 0
66.79  10.9  3 1 0
70.52  39.3  3 1 1
74.16  16.8  2 2 2
81.27  13.1  3 2 1

Atomic structure:
Unit cell a=4.4291 b=4.4291 c=4.4291 alpha=90.00 beta=90.00 gamma=90.00
Space group Pm-3m (No. 221)
One atom of each set of equivalent atoms:
Hf 0.0000 0.0000 0.0000 [1 per cell]
Ti 0.0000 0.5000 0.5000 [3 per cell]
C 0.0000 0.0000 0.5000 [3 per cell]
C 0.5000 0.5000 0.5000 [1 per cell]

---

Hf2TiC2: theoretical powder X-ray diffraction pattern (Cu Ka), based on the GGA-PBE geometry in Alexandria.

Peak list (12 most intense, 2θ = 10–90°, sorted by position)
2θ/deg  intensity  hkl
33.87  100.0  1 1 0
34.44  96.0  0 1 3
35.22  12.9  1 1 1
38.95  46.2  0 2 0
39.99  77.7  1 0 3
57.06  67.6  2 0 0
67.31  14.0  1 3 0
67.66  13.8  0 3 3
68.40  26.8  2 1 3
69.43  25.8  1 1 6
71.27  13.8  2 2 0
72.62  12.9  0 2 6

Atomic structure:
Unit cell a=3.2268 b=4.6251 c=9.4522 alpha=90.00 beta=90.00 gamma=90.00
Space group Pmmn (No. 59, origin choice 2)
One atom of each set of equivalent atoms:
Hf 0.2500 0.2500 0.0855 [2 per cell]
Hf 0.2500 0.2500 0.7485 [2 per cell]
Ti 0.2500 0.2500 0.4136 [2 per cell]
C 0.2500 0.7500 0.0892 [2 per cell]
C 0.2500 0.7500 0.7288 [2 per cell]

---

HfTi5C4: theoretical powder X-ray diffraction pattern (Cu Ka), based on the GGA-PBE geometry in Alexandria.

Peak list (12 most intense, 2θ = 10–90°, sorted by position)
2θ/deg  intensity  hkl
13.55  69.1  2 0 0
14.72  78.6  0 0 1
17.29  32.6  2 0 -1
29.27  21.8  1 1 0
34.99  49.6  4 0 -2
35.23  100.0  3 1 0
35.90  46.6  2 0 2
40.81  95.4  1 1 -2
41.47  46.2  6 0 0
58.98  29.7  7 1 -2
60.20  27.6  5 1 2
71.57  23.2  9 1 0

Atomic structure:
Unit cell a=13.5147 b=3.1412 c=6.2267 alpha=90.00 beta=104.82 gamma=90.00
Space group C2/m (No. 12)
One atom of each set of equivalent atoms:
Hf 0.0000 0.0000 0.0000 [2 per cell]
Ti 0.0000 0.0000 0.5000 [2 per cell]
Ti 0.1650 0.5000 0.3229 [4 per cell]
Ti 0.1658 0.5000 0.8556 [4 per cell]
C 0.0028 0.5000 0.2652 [4 per cell]
C 0.1739 0.0000 0.0988 [4 per cell]

---

HfZnC2: theoretical powder X-ray diffraction pattern (Cu Ka), based on the GGA-PBE geometry in Alexandria.

Peak list (12 most intense, 2θ = 10–90°, sorted by position)
2θ/deg  intensity  hkl
21.46  23.2  1 0 1
30.95  10.3  1 0 3
31.36  22.6  0 0 4
32.53  100.0  1 1 2
40.60  23.0  2 0 0
46.37  7.0  2 1 1
52.18  29.8  2 0 4
56.57  20.5  1 1 6
58.76  10.3  2 2 0
68.13  10.2  2 2 4
68.79  22.6  3 1 2
86.01  12.5  3 1 6

Atomic structure:
Unit cell a=4.4446 b=4.4446 c=11.4087 alpha=90.00 beta=90.00 gamma=90.00
Space group I-42d (No. 122)
One atom of each set of equivalent atoms:
Hf 0.0000 0.0000 0.0000 [4 per cell]
Zn 0.0000 0.0000 0.5000 [4 per cell]
C 0.2284 0.2500 0.6250 [8 per cell]

---

Hf2ZrC2: theoretical powder X-ray diffraction pattern (Cu Ka), based on the GGA-PBE geometry in Alexandria.

Peak list (12 most intense, 2θ = 10–90°, sorted by position)
2θ/deg  intensity  hkl
31.35  16.6  1 0 1
32.02  52.3  0 1 2
33.42  48.3  0 0 9
34.58  100.0  1 0 4
36.39  84.1  0 1 5
40.89  22.4  1 0 7
43.50  20.6  0 1 8
52.48  16.7  0 1 11
55.38  42.3  1 1 0
59.27  29.7  1 0 13
66.25  41.2  1 1 9
66.96  15.1  0 2 4

Atomic structure:
Unit cell a=3.3178 b=3.3178 c=24.1311 alpha=90.00 beta=90.00 gamma=120.00
Space group R-3m (No. 166, hexagonal axes)
One atom of each set of equivalent atoms:
Hf 0.0000 0.0000 0.2258 [6 per cell]
Zr 0.0000 0.0000 0.0000 [3 per cell]
C 0.0000 0.0000 0.3928 [6 per cell]

---

HfZr5C5: theoretical powder X-ray diffraction pattern (Cu Ka), based on the GGA-PBE geometry in Alexandria.

Peak list (12 most intense, 2θ = 10–90°, sorted by position)
2θ/deg  intensity  hkl
13.97  6.7  0 0 1
18.83  2.4  2 0 -1
20.87  4.9  1 1 0
32.93  100.0  3 1 0
38.20  69.2  0 2 0
54.98  7.5  2 0 -4
55.17  37.8  2 2 2
65.62  13.4  1 1 4
65.79  27.0  3 3 0
68.95  7.4  2 2 -4
69.17  7.4  6 2 0
81.71  4.5  4 0 4

Atomic structure:
Unit cell a=10.5206 b=4.7062 c=6.6809 alpha=90.00 beta=108.46 gamma=90.00
Space group C2/m (No. 12)
One atom of each set of equivalent atoms:
Hf 0.0000 0.0000 0.0000 [2 per cell]
Zr 0.0000 0.0000 0.5000 [2 per cell]
Zr 0.1698 0.5000 0.8444 [4 per cell]
Zr 0.1744 0.5000 0.3284 [4 per cell]
C 0.0000 0.5000 0.0000 [2 per cell]
C 0.1660 0.0000 0.3337 [4 per cell]
C 0.1666 0.0000 0.8334 [4 per cell]

---

HgC8: theoretical powder X-ray diffraction pattern (Cu Ka), based on the GGA-PBE geometry in Alexandria.

Peak list (12 most intense, 2θ = 10–90°, sorted by position)
2θ/deg  intensity  hkl
10.28  100.0  0 0 1
14.55  79.6  0 2 1
20.53  44.7  0 4 0
20.73  38.2  0 0 2
23.03  20.8  0 4 1
23.17  24.1  0 2 2
29.34  30.4  0 4 2
32.77  10.8  0 6 1
35.44  11.3  1 1 0
43.57  13.6  0 2 4
47.09  12.3  0 8 2
47.40  10.3  0 4 4

Atomic structure:
Unit cell a=2.5788 b=17.3015 c=8.6310 alpha=90.00 beta=96.89 gamma=90.00
Space group C2/m (No. 12)
One atom of each set of equivalent atoms:
Hg 0.0000 0.0000 0.0000 [2 per cell]
C 0.0000 0.2500 0.0000 [4 per cell]
C 0.0448 0.2278 0.4148 [8 per cell]
C 0.2501 0.0000 0.5000 [4 per cell]